Diffraction record for Ce2Al5Zn3. The PXRD pattern is simulated, not measured: it uses a crystal structure in Alexandria, relaxed with GGA-PBE and copper Kα.
Kinematic intensities with the Lorentz-polarization factor, no thermal factor.

Structure:
Lattice parameters (Å, degrees): 4.244 4.244 10.888 90.00 90.00 90.00
Positions (direct):
Ce1 0.000 0.500 0.250
Ce2 0.500 0.000 0.750
Al1 0.000 0.000 0.000
Al2 0.000 0.000 0.500
Al3 0.000 0.500 0.854
Al4 0.500 0.000 0.146
Al5 0.500 0.500 0.000
Zn1 0.000 0.500 0.630
Zn2 0.500 0.000 0.370
Zn3 0.500 0.500 0.500

Main lines, sorted by position (10 to 90 degrees two-theta):
(0 0 2), d = 5.444 Å, rel. 153
(1 0 1), d = 3.954 Å, rel. 262
(1 1 0), d = 3.001 Å, rel. 362
(1 0 3), d = 2.758 Å, rel. 858
(1 1 2), d = 2.628 Å, rel. 1000
(2 0 0), d = 2.122 Å, rel. 512
(1 0 5), d = 1.937 Å, rel. 397
(2 1 3), d = 1.682 Å, rel. 385
(1 1 6), d = 1.553 Å, rel. 129
(2 2 0), d = 1.500 Å, rel. 165
(2 1 5), d = 1.431 Å, rel. 290
(3 1 2), d = 1.303 Å, rel. 216